The following is a simulated powder diffraction line list of CaTmF6. It was derived from a cell relaxed with GGA-PBE, using Cu Kα (weighted mean of Kα1 and Kα2).
Neutral-atom scattering factors, no anomalous dispersion.

Principal peaks in the range 10 to 80 degrees two-theta, by angle:
two_theta	d (Å)	I_rel	h k l
16.39	5.407	79	1 0 0
23.26	3.823	100	1 1 0
28.08	3.178	87	1 0 2
43.97	2.059	77	2 1 2
47.56	1.912	25	2 2 0
56.15	1.638	24	3 0 2

Structure:
a b c (Å): 5.4072 5.4072 7.8556
angles (deg): 90.00 90.00 90.00
Positions (direct):
Ca1 0.0000 0.0000 0.0000
Ca2 0.0000 0.0000 0.5000
Tm1 0.5000 0.5000 0.2500
Tm2 0.5000 0.5000 0.7500
F1 0.2214 0.2355 0.1777
F2 0.2214 0.2355 0.8223
F3 0.2355 0.7786 0.3223
F4 0.2355 0.7786 0.6777
F5 0.3240 0.3315 0.5000
F6 0.3315 0.6760 0.0000
F7 0.6685 0.3240 0.0000
F8 0.6760 0.6685 0.5000
F9 0.7645 0.2214 0.3223
F10 0.7645 0.2214 0.6777
F11 0.7786 0.7645 0.1777
F12 0.7786 0.7645 0.8223